Computed PXRD pattern of Ag2AuBr4 for Cu Kα X-rays, from a crystal structure in Alexandria, relaxed with GGA-PBE.

Structure:
```
data_Ag2AuBr4
_symmetry_space_group_name_H-M 'I 41/a'
_symmetry_Int_Tables_number 88
_cell_length_a 7.363
_cell_length_b 7.363
_cell_length_c 15.659
_cell_angle_alpha 90.00
_cell_angle_beta 90.00
_cell_angle_gamma 90.00
loop_
_symmetry_equiv_pos_as_xyz
'x,y,z'
'-x,-y,-z'
'-y+3/4,x+1/4,z+1/4'
'y+3/4,-x+1/4,-z+1/4'
'-x+1/2,-y,z+1/2'
'x+1/2,y,-z+1/2'
'y+3/4,-x+3/4,z+3/4'
'-y+3/4,x+3/4,-z+3/4'
'x+1/2,y+1/2,z+1/2'
'-x+1/2,-y+1/2,-z+1/2'
'-y+1/4,x+3/4,z+3/4'
'y+1/4,-x+3/4,-z+3/4'
'-x,-y+1/2,z'
'x,y+1/2,-z'
'y+1/4,-x+1/4,z+1/4'
'-y+1/4,x+1/4,-z+1/4'
loop_
_atom_site_label
_atom_site_type_symbol
_atom_site_fract_x
_atom_site_fract_y
_atom_site_fract_z
Ag1 Ag 0.000 0.000 0.000
Au1 Au 0.000 0.250 0.625
Br1 Br 0.200 0.042 0.388
```

The 6 most intense peaks (2θ = 10–90°), sorted by position:
(hkl)  2θ (°)  intensity
1 1 2  20.49  40.8
1 0 3  20.86  80.0
2 0 2  26.76  39.1
1 2 1  27.69  100.0
1 0 5  31.03  41.5
2 2 4  41.67  93.7

=====

Computed PXRD pattern of K2RhF7 for Cu Kα X-rays, from a crystal structure in Alexandria, relaxed with GGA-PBE.

Structure:
```
data_K2RhF7
_symmetry_space_group_name_H-M 'F m -3 m'
_symmetry_Int_Tables_number 225
_symmetry_space_group_name_Hall '-F 4 2 3'
_cell_length_a 8.889
_cell_length_b 8.889
_cell_length_c 8.889
_cell_angle_alpha 90.00
_cell_angle_beta 90.00
_cell_angle_gamma 90.00
loop_
_atom_site_label
_atom_site_type_symbol
_atom_site_fract_x
_atom_site_fract_y
_atom_site_fract_z
K1 K 0.250 0.250 0.250
Rh1 Rh 0.000 0.000 0.000
F1 F 0.000 0.000 0.217
F2 F 0.000 0.000 0.500
```

The 6 most intense peaks (2θ = 10–90°), sorted by position:
(hkl)  2θ (°)  intensity
1 1 1  17.28  90.1
2 0 0  19.98  30.2
2 2 0  28.40  100.0
4 0 0  40.60  57.7
4 2 2  50.29  32.9
4 4 0  58.76  30.9

=====

Computed PXRD pattern of K2As for Cu Kα X-rays, from a crystal structure in Alexandria, relaxed with GGA-PBE.

Structure:
```
data_K2As
_symmetry_space_group_name_H-M 'I m m m'
_symmetry_Int_Tables_number 71
_symmetry_space_group_name_Hall '-I 2 2'
_cell_length_a 3.598
_cell_length_b 5.120
_cell_length_c 10.348
_cell_angle_alpha 90.00
_cell_angle_beta 90.00
_cell_angle_gamma 90.00
loop_
_atom_site_label
_atom_site_type_symbol
_atom_site_fract_x
_atom_site_fract_y
_atom_site_fract_z
K1 K 0.000 0.000 0.154
As1 As 0.000 0.000 0.500
```

The 6 most intense peaks (2θ = 10–90°), sorted by position:
(hkl)  2θ (°)  intensity
1 1 0  30.36  100.0
0 1 3  31.27  89.6
0 2 0  35.06  45.7
1 0 3  36.07  59.6
1 2 3  51.18  40.7
2 1 3  60.83  23.4

=====

Computed PXRD pattern of InSb3 for Cu Kα X-rays, from a crystal structure in Alexandria, relaxed with GGA-PBE.

Structure:
```
data_InSb3
_symmetry_space_group_name_H-M 'P m n 21'
_symmetry_Int_Tables_number 31
_cell_length_a 6.100
_cell_length_b 6.086
_cell_length_c 6.599
_cell_angle_alpha 90.00
_cell_angle_beta 90.00
_cell_angle_gamma 90.00
loop_
_symmetry_equiv_pos_as_xyz
'x,y,z'
'-x+1/2,-y,z+1/2'
'-x,y,z'
'x+1/2,-y,z+1/2'
loop_
_atom_site_label
_atom_site_type_symbol
_atom_site_fract_x
_atom_site_fract_y
_atom_site_fract_z
In1 In 0.000 0.001 0.000
Sb1 Sb 0.000 0.000 0.449
Sb2 Sb 0.000 0.500 0.487
Sb3 Sb 0.000 0.501 0.924
```

The 6 most intense peaks (2θ = 10–90°), sorted by position:
(hkl)  2θ (°)  intensity
0 0 2  27.02  53.3
2 0 0  29.32  100.0
2 0 2  40.29  72.7
2 2 0  41.94  37.5
2 2 2  50.60  37.1
2 0 4  64.21  16.3